[1]
Mg4ZnPd: simulated X-ray diffraction stick pattern (λ = 1.5418 Å (Cu Kα)), based on a crystal structure in Alexandria, relaxed with PBE.
Neutral-atom scattering factors, no anomalous dispersion.

Cell and atoms:
```
data_Mg4ZnPd
_cell_length_a 5.3762
_cell_length_b 5.3762
_cell_length_c 5.3762
_cell_angle_alpha 104.15
_cell_angle_beta 104.15
_cell_angle_gamma 120.74
_symmetry_space_group_name_H-M 'P 1'
_symmetry_Int_Tables_number 1
loop_
_symmetry_equiv_pos_as_xyz
'x,y,z'
loop_
_atom_site_label
_atom_site_type_symbol
_atom_site_fract_x
_atom_site_fract_y
_atom_site_fract_z
Mg1 Mg 0.0838 0.5838 0.1676
Mg2 Mg 0.4162 0.9162 0.8324
Mg3 Mg 0.5838 0.4162 0.5000
Mg4 Mg 0.9162 0.0838 0.5000
Zn1 Zn 0.0000 0.0000 0.0000
Pd1 Pd 0.5000 0.5000 0.0000
```

Peak list (10 most intense, 2θ from 10° to 90°, in order of rising 2θ)
d_spacing, I/Imax
4.673, 1000
3.305, 298
2.583, 272
2.337, 291
2.310, 568
2.090, 530
2.071, 512
1.643, 150
1.403, 140
1.344, 177

***

[2]
MgZn8Pd2: simulated X-ray diffraction stick pattern (λ = 1.5418 Å (Cu Kα)), based on a crystal structure in Alexandria, relaxed with PBE.
Neutral-atom scattering factors, no anomalous dispersion.

Cell and atoms:
```
data_MgZn8Pd2
_cell_length_a 6.6611
_cell_length_b 6.6611
_cell_length_c 4.1775
_cell_angle_alpha 90.00
_cell_angle_beta 90.00
_cell_angle_gamma 106.00
_symmetry_space_group_name_H-M 'P 1'
_symmetry_Int_Tables_number 1
loop_
_symmetry_equiv_pos_as_xyz
'x,y,z'
loop_
_atom_site_label
_atom_site_type_symbol
_atom_site_fract_x
_atom_site_fract_y
_atom_site_fract_z
Mg1 Mg 0.0000 0.0000 0.0000
Zn1 Zn 0.0371 0.3093 0.5000
Zn2 Zn 0.2474 0.7526 0.0000
Zn3 Zn 0.3093 0.0371 0.5000
Zn4 Zn 0.3406 0.3406 0.0000
Zn5 Zn 0.6594 0.6594 0.0000
Zn6 Zn 0.6907 0.9629 0.5000
Zn7 Zn 0.7526 0.2474 0.0000
Zn8 Zn 0.9629 0.6907 0.5000
Pd1 Pd 0.3704 0.6296 0.5000
Pd2 Pd 0.6296 0.3704 0.5000
```

Peak list (10 most intense, 2θ from 10° to 90°, in order of rising 2θ)
d_spacing, I/Imax
6.403, 268
4.177, 150
2.541, 157
2.244, 1000
2.202, 749
2.134, 426
2.089, 415
1.493, 297
1.260, 163
1.148, 205

***

- Number 2 is which compound?
  MgZn8Pd2

***

- Which formula does entry 1 have?
  Mg4ZnPd

***

- Number 1 is which compound?
  Mg4ZnPd